Entry 1:
Structure and theoretical XRD peak list of Mg7CdIn12 (a structure optimized by DFT (PBE); CuKα).
Lines closer than 0.1° are merged.

The 10 most intense peaks (2θ = 5–70°), most intense first:
index  Position (°2θ)  intensity
1 -2 2  26.21  100
-1 1 2  25.80  100
1 2 -1  26.41  92
2 -3 0  36.90  71
2 0 1  36.49  68
2 1 -3  37.39  58
0 1 -4  37.31  49
0 3 1  37.11  47
0 4 -3  38.59  40
-3 1 1  45.19  30

Crystal structure
a b c (Å): 6.0220 9.9922 10.0878
angles (deg): 114.12 100.65 102.18
Space group P-1 (No. 2)
One atom of each set of equivalent atoms:
Mg  0.0000  0.0000  0.0000
Mg  0.1439  0.7706  0.7092
Mg  0.3761  0.9451  0.2353
Mg  0.4540  0.3027  0.0648
Cd  0.5000  0.0000  0.0000
In  0.0242  0.6457  0.9387
In  0.1105  0.0833  0.7241
In  0.1593  0.4453  0.6287
In  0.2690  0.8311  0.4540
In  0.3950  0.3004  0.3720
In  0.4432  0.6324  0.1975

=====

Entry 2:
Structure and theoretical XRD peak list of SrCaRe (a structure optimized by DFT (PBE); CuKα).
Lines closer than 0.1° are merged.

The 10 most intense peaks (2θ = 5–70°), most intense first:
index  Position (°2θ)  intensity
1 1 0  33.41  100
1 0 1  36.79  99
1 0 0  19.11  60
2 1 1  61.94  43
2 0 1  50.54  40
3 0 0  59.72  19
2 0 0  38.77  11
2 1 0  52.09  9
0 0 2  64.94  5
1 0 2  68.38  4

Crystal structure
a b c (Å): 5.3641 5.3641 2.8719
angles (deg): 90.00 90.00 120.00
Space group P-6m2 (No. 187)
One atom of each set of equivalent atoms:
Sr  0.0000  0.0000  0.0000
Ca  0.6667  0.3333  0.0000
Re  0.3333  0.6667  0.5000

=====

Entry 3:
Structure and theoretical XRD peak list of Sc2Fe2Ge2P (a structure optimized by DFT (PBE); CuKα).
Lines closer than 0.1° are merged.

The 10 most intense peaks (2θ = 5–70°), most intense first:
index  Position (°2θ)  intensity
1 1 4  40.21  100
2 0 0  43.71  85
1 0 5  38.93  71
0 0 2  12.69  66
1 1 2  33.18  47
2 1 5  59.95  37
1 1 0  30.53  37
2 2 0  63.54  26
0 0 6  38.73  19
2 0 6  59.81  19

Crystal structure
a b c (Å): 4.1416 4.1416 13.9484
angles (deg): 90.00 90.00 90.00
Space group I4/mmm (No. 139)
One atom of each set of equivalent atoms:
Sc  0.0000  0.0000  0.1766
Fe  0.0000  0.5000  0.0000
Ge  0.0000  0.0000  0.3773
P  0.0000  0.0000  0.0000

=====

Entry 4:
Structure and theoretical XRD peak list of ReI2Cl3 (a structure optimized by DFT (PBE); CuKα).
Lines closer than 0.1° are merged.

The 10 most intense peaks (2θ = 5–70°), most intense first:
index  Position (°2θ)  intensity
0 1 1  9.31  100
0 0 2  11.78  50
0 3 1  22.53  42
0 2 2  18.67  33
1 2 3  37.82  28
1 0 1  30.27  23
0 2 4  27.85  22
0 1 3  19.14  22
1 1 4  39.03  20
1 1 2  32.86  17

Crystal structure
a b c (Å): 3.0117 12.2714 15.0250
angles (deg): 90.00 90.00 90.00
Space group Imm2 (No. 44)
One atom of each set of equivalent atoms:
Re  0.0000  0.0000  0.0000
I  0.0000  0.3014  0.1388
Cl  0.0000  0.1346  0.9020
Cl  0.0000  0.5000  0.6215

=====

Entry 5:
Structure and theoretical XRD peak list of CsMg14Si (a structure optimized by DFT (PBE); CuKα).
Lines closer than 0.1° are merged.

The 10 most intense peaks (2θ = 5–70°), most intense first:
index  Position (°2θ)  intensity
2 2 2  35.96  100
2 0 4  35.85  62
1 0 0  8.15  57
4 0 0  33.03  56
1 0 2  17.74  54
0 2 2  31.81  53
0 1 1  15.73  37
2 1 1  22.76  37
6 0 4  60.88  35
3 1 1  29.36  35

Crystal structure
a b c (Å): 10.8487 6.4878 11.2962
angles (deg): 90.00 90.00 90.00
Space group Amm2 (No. 38)
One atom of each set of equivalent atoms:
Cs  0.0000  0.0000  0.0000
Mg  0.0000  0.2274  0.7340
Mg  0.2256  0.0000  0.6017
Mg  0.2563  0.2469  0.3559
Mg  0.2828  0.0000  0.1131
Mg  0.5000  0.0000  0.4368
Mg  0.5000  0.0000  0.9351
Mg  0.5000  0.2353  0.6897
Si  0.0000  0.0000  0.4121

=====

Entry 6:
Structure and theoretical XRD peak list of LaCuGePt6 (a structure optimized by DFT (PBE); CuKα).
Lines closer than 0.1° are merged.

The 10 most intense peaks (2θ = 5–70°), most intense first:
index  Position (°2θ)  intensity
2 2 0  32.25  100
2 2 4  46.18  89
0 4 0  39.03  50
0 0 4  32.14  40
1 1 2  22.61  23
1 1 4  36.09  21
0 4 4  51.42  20
1 0 3  27.23  17
4 0 0  52.69  16
4 4 0  67.48  15

Crystal structure
a b c (Å): 6.9487 9.2314 11.1384
angles (deg): 90.00 90.00 90.00
Space group Imma (No. 74)
One atom of each set of equivalent atoms:
La  0.0000  0.2500  0.1590
Cu  0.2500  0.2500  0.7500
Ge  0.0000  0.0000  0.5000
Pt  0.0000  0.2500  0.4156
Pt  0.0000  0.2500  0.9047
Pt  0.2189  0.0133  0.8726